1.
Computed powder diffraction line list of Cu4HgBr7 for copper Kα, from a crystal structure in Alexandria, relaxed with GGA-PBE.
Peak positions follow from Bragg's law for the DFT cell and can differ from measured ones.

Principal peaks in the range 2θ from 10° to 90°, most intense first:
2θ (°), I/Imax
20.31, 1000
43.88, 791
24.73, 766
20.95, 658
30.59, 612
35.49, 463
29.44, 406
27.07, 393
45.94, 360
47.54, 307
29.24, 281
28.74, 257

Structural model:
```
Cu4HgBr7
1.0
8.6825 -5.0610 0.0000
8.6825 5.0610 0.0000
0.0000 0.0000 7.9024
Cu Hg Br
8 2 14
Cartesian
6.6465 3.3832 5.9268 Cu
10.7184 3.3832 5.9268 Cu
5.2296 0.0000 0.0000 Cu
5.2296 0.0000 3.9512 Cu
12.1353 0.0000 0.0000 Cu
12.1353 0.0000 3.9512 Cu
6.6465 -3.3832 1.9756 Cu
10.7184 -3.3832 1.9756 Cu
8.6825 2.5633 1.9756 Hg
8.6825 -2.5633 5.9268 Hg
8.6825 4.7419 5.9268 Br
6.6644 1.9860 0.0086 Br
6.6644 1.9860 3.9426 Br
3.8282 0.0006 1.9756 Br
3.8282 -0.0006 5.9268 Br
10.7005 1.9860 0.0086 Br
10.7005 1.9860 3.9426 Br
6.6644 -1.9860 3.9598 Br
6.6644 -1.9860 7.8938 Br
13.5368 0.0006 1.9756 Br
13.5368 -0.0006 5.9268 Br
10.7005 -1.9860 3.9598 Br
10.7005 -1.9860 7.8938 Br
8.6825 -4.7419 1.9756 Br
```

2.
Computed powder diffraction line list of KCu2HgBr6 for copper Kα, from a crystal structure in Alexandria, relaxed with GGA-PBE.
Peak positions follow from Bragg's law for the DFT cell and can differ from measured ones.

Principal peaks in the range 2θ from 10° to 90°, most intense first:
2θ (°), I/Imax
18.51, 1000
27.77, 873
22.61, 779
44.47, 676
13.47, 628
17.67, 524
20.91, 518
37.54, 373
21.10, 313
38.93, 301
36.05, 284
31.63, 254

Structural model:
```
KCu2HgBr6
1.0
6.9975 -6.9408 0.0000
6.9975 6.9408 0.0000
-2.4552 0.0000 7.2699
K Cu Hg Br
2 4 2 12
Cartesian
5.1561 5.3897 5.4524 K
6.3837 -5.3897 1.8175 K
2.3292 0.7513 5.6576 Cu
3.5568 -0.7513 2.0226 Cu
7.9830 0.7513 5.2473 Cu
9.2106 -0.7513 1.6123 Cu
6.3837 3.4899 1.8175 Hg
5.1561 -3.4899 5.4524 Hg
0.0477 1.1853 4.9756 Br
3.0940 3.0236 6.7240 Br
1.2753 -1.1853 1.3407 Br
3.6960 0.9262 3.6989 Br
7.2181 3.0236 4.1809 Br
4.9236 -0.9262 0.0639 Br
6.6162 0.9262 7.2060 Br
4.3217 -3.0236 3.0891 Br
7.8438 -0.9262 3.5710 Br
10.2645 1.1853 5.9293 Br
8.4457 -3.0236 0.5459 Br
11.4921 -1.1853 2.2943 Br
```

3.
Computed powder diffraction line list of Na2CuHgBr5 for copper Kα, from a crystal structure in Alexandria, relaxed with GGA-PBE.
Peak positions follow from Bragg's law for the DFT cell and can differ from measured ones.

Principal peaks in the range 2θ from 10° to 90°, most intense first:
2θ (°), I/Imax
29.49, 1000
30.69, 500
12.87, 463
43.71, 362
49.60, 315
35.65, 315
16.26, 271
11.80, 228
54.38, 209
22.98, 199
39.65, 189
25.61, 157

Structural model:
```
Na2CuHgBr5
1.0
2.0696 -8.9415 0.0000
2.0696 8.9415 0.0000
0.0000 0.0000 13.7605
Na Cu Hg Br
4 2 2 10
Cartesian
2.0696 7.4677 6.8803 Na
2.0696 6.6890 2.4541 Na
2.0696 -6.6890 9.3344 Na
2.0696 -7.4677 0.0000 Na
2.0696 1.0393 3.6553 Cu
2.0696 -1.0393 10.5356 Cu
2.0696 5.0364 12.1735 Hg
2.0696 -5.0364 5.2933 Hg
2.0696 7.9272 11.8979 Br
2.0696 4.0538 7.2721 Br
2.0696 3.6088 3.2817 Br
2.0696 2.2693 11.7110 Br
2.0696 0.1033 8.4282 Br
2.0696 -0.1033 1.5479 Br
2.0696 -2.2693 4.8307 Br
2.0696 -3.6088 10.1620 Br
2.0696 -4.0538 0.3918 Br
2.0696 -7.9272 5.0177 Br
```

4.
Computed powder diffraction line list of Rb3CuHg2Br8 for copper Kα, from a crystal structure in Alexandria, relaxed with GGA-PBE.
Peak positions follow from Bragg's law for the DFT cell and can differ from measured ones.

Principal peaks in the range 2θ from 10° to 90°, most intense first:
2θ (°), I/Imax
22.82, 1000
15.87, 814
32.05, 781
30.03, 520
46.60, 500
45.30, 371
44.82, 297
36.35, 284
26.40, 266
38.04, 257
40.07, 222
22.20, 196

Structural model:
```
Rb3CuHg2Br8
1.0
7.7952 0.0000 0.0000
-3.8976 6.7509 0.0000
0.0000 0.0000 9.9467
Rb Cu Hg Br
3 1 2 8
Cartesian
0.0000 0.0000 0.0000 Rb
0.0000 4.5006 6.0356 Rb
3.8976 2.2503 3.9110 Rb
0.0000 0.0000 4.9733 Cu
0.0000 4.5006 2.0347 Hg
3.8976 2.2503 7.9120 Hg
0.0000 2.0909 3.3214 Br
-2.0869 5.7054 3.3214 Br
1.8107 1.0454 6.6253 Br
0.0000 4.5006 9.4029 Br
3.8976 2.2503 0.5438 Br
2.0869 5.7054 3.3214 Br
5.9845 1.0454 6.6253 Br
3.8976 4.6600 6.6253 Br
```

5.
Computed powder diffraction line list of CuHgSeBr for copper Kα, from a crystal structure in Alexandria, relaxed with GGA-PBE.
Peak positions follow from Bragg's law for the DFT cell and can differ from measured ones.

Principal peaks in the range 2θ from 10° to 90°, most intense first:
2θ (°), I/Imax
24.10, 1000
32.55, 672
41.87, 535
19.51, 458
55.74, 412
28.51, 380
35.09, 340
36.03, 333
41.03, 323
49.70, 316
27.04, 307
45.05, 302

Structural model:
```
CuHgSeBr
1.0
10.2283 0.0000 0.0000
0.0000 4.3145 0.0000
0.0000 0.0000 9.9714
Cu Hg Se Br
4 4 4 4
Cartesian
1.0598 0.0000 2.1591 Cu
4.0544 0.0000 2.1591 Cu
6.1740 0.0000 7.8123 Cu
9.1685 0.0000 7.8123 Cu
0.0000 2.1572 4.9857 Hg
2.5571 2.1572 7.8757 Hg
5.1142 2.1572 4.9857 Hg
7.6712 2.1572 2.0957 Hg
10.2232 2.1572 2.4303 Se
0.0051 2.1572 7.5411 Se
5.1193 2.1572 2.4303 Se
5.1091 2.1572 7.5411 Se
2.5571 0.0000 0.2060 Br
2.5571 0.0000 4.3183 Br
7.6712 0.0000 5.6531 Br
7.6712 0.0000 9.7654 Br
```

6.
Computed powder diffraction line list of CuHg2Se2Br2 for copper Kα, from a crystal structure in Alexandria, relaxed with GGA-PBE.
Peak positions follow from Bragg's law for the DFT cell and can differ from measured ones.

Principal peaks in the range 2θ from 10° to 90°, most intense first:
2θ (°), I/Imax
13.75, 1000
26.25, 993
31.65, 738
35.05, 609
26.17, 607
22.12, 583
44.21, 555
21.71, 527
25.50, 490
40.34, 461
27.71, 399
21.98, 384

Structural model:
```
CuHg2Se2Br2
1.0
4.5483 0.0000 0.0000
-0.9325 6.8345 0.0000
-1.0630 -2.4175 6.7906
Cu Hg Se Br
1 2 2 2
Cartesian
0.0000 0.0000 0.0000 Cu
0.0942 1.4544 4.8017 Hg
2.4586 2.9626 1.9889 Hg
0.1641 1.6146 1.8743 Se
2.3887 2.8024 4.9163 Se
0.5569 -1.1861 5.4466 Br
1.9959 5.6031 1.3440 Br
```

7.
Computed powder diffraction line list of Tl2CuHgBr6 for copper Kα, from a crystal structure in Alexandria, relaxed with GGA-PBE.
Peak positions follow from Bragg's law for the DFT cell and can differ from measured ones.

Principal peaks in the range 2θ from 10° to 90°, most intense first:
2θ (°), I/Imax
32.26, 1000
20.56, 889
23.84, 665
25.00, 465
14.37, 380
23.90, 359
42.49, 348
48.71, 342
28.97, 333
34.16, 299
29.54, 298
34.80, 260

Structural model:
```
Tl2CuHgBr6
1.0
7.1292 0.0000 0.0000
3.2231 6.3774 0.0000
3.2767 1.9986 7.7335
Tl Cu Hg Br
2 1 1 6
Cartesian
0.0000 0.0000 0.0000 Tl
6.3572 3.9019 4.9552 Tl
9.9937 6.1406 6.3375 Cu
3.1794 1.9510 2.4835 Hg
8.0171 6.9475 5.1399 Br
5.1577 3.1617 1.6179 Br
10.1507 8.2699 7.5359 Br
9.8330 4.0068 5.1480 Br
11.5502 7.1157 3.3392 Br
11.9658 5.3314 7.5427 Br
```

8.
Computed powder diffraction line list of HoCuBr6 for copper Kα, from a crystal structure in Alexandria, relaxed with GGA-PBE.
Peak positions follow from Bragg's law for the DFT cell and can differ from measured ones.

Principal peaks in the range 2θ from 10° to 90°, most intense first:
2θ (°), I/Imax
13.16, 1000
23.77, 789
28.79, 575
26.59, 515
19.49, 471
20.13, 418
34.85, 390
23.64, 387
34.07, 289
30.77, 270
45.66, 258
38.55, 247

Structural model:
```
HoCuBr6
1.0
5.8092 0.0000 0.0000
0.3213 7.1644 0.0000
2.2298 2.9285 6.7283
Ho Cu Br
1 1 6
Cartesian
0.0000 0.0000 0.0000 Ho
3.0653 3.5822 0.0000 Cu
1.1469 6.8644 2.5486 Br
3.6681 5.1273 5.6096 Br
4.4729 8.3574 5.5049 Br
3.8874 1.7355 1.2233 Br
4.6922 4.9656 1.1187 Br
7.2135 3.2285 4.1797 Br
```

9.
Computed powder diffraction line list of Ho2CuBr2 for copper Kα, from a crystal structure in Alexandria, relaxed with GGA-PBE.
Peak positions follow from Bragg's law for the DFT cell and can differ from measured ones.

Principal peaks in the range 2θ from 10° to 90°, most intense first:
2θ (°), I/Imax
29.64, 1000
34.09, 568
44.12, 462
46.66, 408
69.77, 189
56.25, 162
15.81, 144
84.81, 140
32.44, 138
66.16, 136
26.57, 133
76.00, 132

Structural model:
```
Ho2CuBr2
1.0
1.9467 1.1239 11.2101
-1.9467 1.1239 11.2101
0.0000 -2.2478 11.2101
Ho Cu Br
2 1 2
Cartesian
0.0000 0.0000 3.8989 Ho
0.0000 0.0000 29.7313 Ho
0.0000 0.0000 16.8151 Cu
0.0000 0.0000 9.2028 Br
0.0000 0.0000 24.4274 Br
```

10.
Computed powder diffraction line list of Ho2CuBr8 for copper Kα, from a crystal structure in Alexandria, relaxed with GGA-PBE.
Peak positions follow from Bragg's law for the DFT cell and can differ from measured ones.

Principal peaks in the range 2θ from 10° to 90°, most intense first:
2θ (°), I/Imax
11.20, 1000
16.48, 824
17.55, 666
18.56, 641
22.51, 589
25.46, 574
16.34, 565
33.02, 538
42.96, 530
41.16, 418
37.67, 415
24.50, 402

Structural model:
```
Ho2CuBr8
1.0
7.0142 -4.7805 0.0000
7.0142 4.7805 0.0000
-0.1100 0.0000 7.4048
Ho Cu Br
2 1 8
Cartesian
2.7124 0.0000 1.2932 Ho
11.2060 0.0000 6.1116 Ho
-0.0550 0.0000 3.7024 Cu
5.7619 2.9521 4.8586 Br
2.3943 0.0000 6.0823 Br
8.1565 2.9521 2.5462 Br
5.1796 0.0000 2.0071 Br
8.7387 0.0000 5.3977 Br
5.7619 -2.9521 4.8586 Br
11.5240 0.0000 1.3225 Br
8.1565 -2.9521 2.5462 Br
```

11.
Computed powder diffraction line list of KHoCuBr6 for copper Kα, from a crystal structure in Alexandria, relaxed with GGA-PBE.
Peak positions follow from Bragg's law for the DFT cell and can differ from measured ones.

Principal peaks in the range 2θ from 10° to 90°, most intense first:
2θ (°), I/Imax
12.03, 1000
29.30, 888
25.49, 666
36.74, 628
43.18, 570
19.55, 398
32.21, 379
14.09, 377
44.37, 296
17.71, 279
19.39, 259
34.91, 222

Structural model:
```
KHoCuBr6
1.0
6.8924 0.0000 0.0000
-2.7774 6.3124 0.0000
-0.4375 -0.6709 7.3546
K Ho Cu Br
1 1 1 6
Cartesian
0.0000 0.0000 0.0000 K
0.2833 3.8391 3.6780 Ho
3.6578 1.6424 3.6733 Cu
-1.1319 1.7256 4.9688 Br
-1.6219 3.7139 1.7640 Br
-0.3719 5.6274 5.5944 Br
1.8189 2.0355 2.0827 Br
2.5534 3.1579 5.2699 Br
1.6422 5.9874 2.3842 Br
```

12.
Computed powder diffraction line list of Cu4I3Br for copper Kα, from a crystal structure in Alexandria, relaxed with GGA-PBE.
Peak positions follow from Bragg's law for the DFT cell and can differ from measured ones.

Principal peaks in the range 2θ from 10° to 90°, most intense first:
2θ (°), I/Imax
24.35, 1000
46.43, 893
27.58, 889
42.85, 863
25.65, 603
50.61, 539
35.66, 377
81.06, 330
65.01, 312
72.84, 211
51.72, 152
49.90, 136

Structural model:
```
Cu4I3Br
1.0
8.4421 0.0000 0.0000
0.0000 7.3093 0.0000
0.0000 0.0000 6.9461
Cu I Br
8 6 2
Cartesian
0.0000 1.1285 0.0000 Cu
0.0000 6.0757 3.5810 Cu
2.0696 4.8822 6.9356 Cu
2.1515 2.4270 3.4625 Cu
4.2210 1.2336 0.1080 Cu
4.2210 6.1807 3.4730 Cu
6.2906 2.4270 3.4625 Cu
6.3725 4.8822 6.9356 Cu
0.0000 1.1919 2.6117 I
2.1039 2.4162 6.0785 I
2.1171 4.8930 2.6054 I
4.2210 6.1174 6.0847 I
6.3249 4.8930 2.6054 I
6.3381 2.4162 6.0785 I
0.0000 6.0673 6.0895 Br
4.2210 1.2420 2.6165 Br
```